Calculated X-ray diffraction stick pattern of CaScAs3 for Cu Kα (weighted mean of Kα1 and Kα2), from a DFT-relaxed cell (GGA-PBE, Alexandria).

Cell and atoms:
```
data_CaScAs3
_symmetry_space_group_name_H-M 'P m -3 m'
_symmetry_Int_Tables_number 221
_symmetry_space_group_name_Hall '-P 4 2 3'
_cell_length_a 5.0969
_cell_length_b 5.0969
_cell_length_c 5.0969
_cell_angle_alpha 90.00
_cell_angle_beta 90.00
_cell_angle_gamma 90.00
loop_
_atom_site_label
_atom_site_fract_x
_atom_site_fract_y
_atom_site_fract_z
Ca1 0.0000 0.0000 0.0000
Sc1 0.5000 0.5000 0.5000
As1 0.0000 0.5000 0.5000
```

Main lines, in order of rising 2θ (5 to 70 degrees two-theta):
h k l  2theta  I/Imax
1 0 0  17.4  36
1 1 0  24.7  1
1 1 1  30.4  100
2 0 0  35.2  97
2 1 0  39.5  18
2 2 0  50.7  66
3 0 0  54.0  9
3 1 1  60.2  41
2 2 2  63.2  22
3 2 0  66.1  4

Calculated X-ray diffraction stick pattern of HfFeAgPb2 for Cu Kα (weighted mean of Kα1 and Kα2), from a DFT-relaxed cell (GGA-PBE, Alexandria).

Cell and atoms:
```
data_HfFeAgPb2
_symmetry_space_group_name_H-M 'P 4/m m m'
_symmetry_Int_Tables_number 123
_symmetry_space_group_name_Hall '-P 4 2'
_cell_length_a 5.2328
_cell_length_b 5.2328
_cell_length_c 4.7324
_cell_angle_alpha 90.00
_cell_angle_beta 90.00
_cell_angle_gamma 90.00
loop_
_atom_site_label
_atom_site_fract_x
_atom_site_fract_y
_atom_site_fract_z
Hf1 0.0000 0.0000 0.0000
Fe1 0.5000 0.5000 0.0000
Ag1 0.5000 0.5000 0.5000
Pb1 0.0000 0.5000 0.5000
```

Main lines, in order of rising 2θ (5 to 70 degrees two-theta):
h k l  2theta  I/Imax
0 0 1  18.8  23
1 0 1  25.4  30
1 1 1  30.7  100
2 0 0  34.3  76
0 0 2  38.0  29
2 0 1  39.3  15
2 2 0  49.3  27
2 0 2  52.1  46
3 1 1  59.1  32
2 2 2  63.9  25

Calculated X-ray diffraction stick pattern of AlS8 for Cu Kα (weighted mean of Kα1 and Kα2), from a DFT-relaxed cell (GGA-PBE, Alexandria).

Cell and atoms:
```
data_AlS8
_symmetry_space_group_name_H-M 'P -1'
_symmetry_Int_Tables_number 2
_symmetry_space_group_name_Hall '-P 1'
_cell_length_a 3.9129
_cell_length_b 7.2662
_cell_length_c 9.2493
_cell_angle_alpha 71.82
_cell_angle_beta 82.44
_cell_angle_gamma 78.37
loop_
_atom_site_label
_atom_site_fract_x
_atom_site_fract_y
_atom_site_fract_z
Al1 0.0000 0.0000 0.0000
S1 0.1656 0.1899 0.6141
S2 0.2075 0.9267 0.7707
S3 0.3829 0.3793 0.7018
S4 0.4349 0.2381 0.9256
```

Main lines, in order of rising 2θ (5 to 70 degrees two-theta):
h k l  2theta  I/Imax
0 1 0  13.0  37
0 1 1  13.9  100
1 0 1  24.7  24
1 0 -1  26.1  55
1 -1 0  28.7  30
1 2 1  30.6  34
1 2 0  32.1  15
1 -2 2  46.6  31
1 1 -4  53.6  15
-2 1 2  56.1  15